[1]
Computed powder diffractogram of Tb3Y8Th2 for CuKα, from a DFT-relaxed cell (PBE, Alexandria).
No peak broadening, texture or thermal motion is included.

Main lines, by intensity (10° ≤ 2θ ≤ 90°):
two_theta	I_rel
31.36	100
31.84	75
32.72	55
31.64	48
34.28	22
11.52	21

Crystal structure
```
Tb3Y8Th2
1.0
6.540 0.000 0.000
-2.913 8.307 0.000
-2.923 -1.828 15.700
Tb Y Th
6 16 4
direct
0.000 0.000 0.000
0.000 0.500 0.500
0.187 0.151 0.790
0.300 0.636 0.277
0.700 0.364 0.723
0.813 0.849 0.210
0.007 0.243 0.183
0.032 0.399 0.913
0.160 0.862 0.623
0.244 0.534 0.726
0.250 0.227 0.574
0.399 0.041 0.196
0.407 0.341 0.398
0.420 0.801 0.000
0.580 0.199 0.000
0.593 0.659 0.602
0.601 0.959 0.804
0.750 0.773 0.426
0.756 0.466 0.274
0.840 0.138 0.377
0.968 0.601 0.087
0.993 0.757 0.817
0.289 0.925 0.420
0.419 0.472 0.099
0.581 0.528 0.901
0.711 0.075 0.580
```



[2]
Computed powder diffractogram of Nd8Tm3Pu for CuKα, from a DFT-relaxed cell (PBE, Alexandria).
No peak broadening, texture or thermal motion is included.

Main lines, by intensity (10° ≤ 2θ ≤ 90°):
two_theta	I_rel
30.31	100
35.10	45
30.52	33
50.64	24
35.41	22
59.92	19

Crystal structure
```
Nd8Tm3Pu
1.0
5.070 -3.629 0.000
5.070 3.629 0.000
-0.058 0.000 10.806
Nd Tm Pu
8 3 1
direct
0.000 0.000 0.164
0.000 0.000 0.836
0.000 0.500 0.338
0.000 0.500 0.662
0.500 0.000 0.338
0.500 0.000 0.662
0.500 0.500 0.167
0.500 0.500 0.833
0.000 0.000 0.500
0.000 0.500 0.000
0.500 0.000 0.000
0.500 0.500 0.500
```



[3]
Computed powder diffractogram of LiCaH2SeF for CuKα, from a DFT-relaxed cell (PBE, Alexandria).
No peak broadening, texture or thermal motion is included.

Main lines, by intensity (10° ≤ 2θ ≤ 90°):
two_theta	I_rel
14.37	100
30.35	51
35.68	44
35.37	44
22.25	41
32.31	36

Crystal structure
```
LiCaH2SeF
1.0
6.406 -2.112 0.000
6.406 2.112 0.000
-0.999 0.000 3.533
Li Ca H Se F
1 1 2 1 1
direct
0.000 0.000 0.000
0.734 0.734 0.223
0.374 0.374 0.199
0.406 0.406 0.405
0.136 0.136 0.631
0.852 0.852 0.827
```



[4]
Computed powder diffractogram of Sm2LuZn for CuKα, from a DFT-relaxed cell (PBE, Alexandria).
No peak broadening, texture or thermal motion is included.

Main lines, by intensity (10° ≤ 2θ ≤ 90°):
two_theta	I_rel
32.41	100
35.12	46
61.31	32
26.77	18
50.52	16
56.01	14

Crystal structure
```
Sm2LuZn
1.0
3.613 0.000 0.000
0.000 3.613 0.000
0.000 0.000 8.570
Sm Lu Zn
2 1 1
direct
0.000 0.000 0.213
0.000 0.000 0.787
0.500 0.500 0.500
0.500 0.500 0.000
```



[5]
Computed powder diffractogram of SmLuCl for CuKα, from a DFT-relaxed cell (PBE, Alexandria).
No peak broadening, texture or thermal motion is included.

Main lines, by intensity (10° ≤ 2θ ≤ 90°):
two_theta	I_rel
31.00	100
38.24	59
60.03	31
64.64	27
49.98	22
81.79	19

Crystal structure
```
SmLuCl
1.0
3.650 0.000 0.000
-1.825 3.161 0.000
0.000 0.000 7.055
Sm Lu Cl
1 1 1
direct
0.000 0.000 0.000
0.333 0.667 0.377
0.667 0.333 0.674
```



[6]
Computed powder diffractogram of Ti4Pd2Rh for CuKα, from a DFT-relaxed cell (PBE, Alexandria).
No peak broadening, texture or thermal motion is included.

Main lines, by intensity (10° ≤ 2θ ≤ 90°):
two_theta	I_rel
35.78	100
30.35	96
41.63	60
39.54	57
43.11	54
44.92	45

Crystal structure
```
Ti4Pd2Rh
1.0
2.098 -6.786 0.000
2.098 6.786 0.000
0.000 0.000 4.339
Ti Pd Rh
4 2 1
direct
0.176 0.824 0.000
0.315 0.685 0.500
0.685 0.315 0.500
0.824 0.176 0.000
0.089 0.911 0.500
0.911 0.089 0.500
0.500 0.500 0.000
```



[7]
Computed powder diffractogram of BaDy2H for CuKα, from a DFT-relaxed cell (PBE, Alexandria).
No peak broadening, texture or thermal motion is included.

Main lines, by intensity (10° ≤ 2θ ≤ 90°):
two_theta	I_rel
28.57	100
37.51	76
35.56	48
27.05	44
50.29	33
58.03	31

Crystal structure
```
BaDy2H
1.0
1.814 1.047 9.891
-1.814 1.047 9.891
0.000 -2.095 9.891
Ba Dy H
1 2 1
direct
0.000 0.000 0.000
0.123 0.123 0.123
0.877 0.877 0.877
0.500 0.500 0.500
```



[8]
Computed powder diffractogram of Pr2PaP3 for CuKα, from a DFT-relaxed cell (PBE, Alexandria).
No peak broadening, texture or thermal motion is included.

Main lines, by intensity (10° ≤ 2θ ≤ 90°):
two_theta	I_rel
26.54	100
30.70	73
44.06	67
30.82	36
52.10	34
72.66	18

Crystal structure
```
Pr2PaP3
1.0
-2.056 2.901 6.186
2.056 -2.901 6.186
2.056 2.901 -6.186
Pr Pa P
2 1 3
direct
0.169 0.169 0.000
0.831 0.831 0.000
0.500 0.500 0.000
0.000 0.500 0.500
0.346 0.846 0.500
0.654 0.154 0.500
```



[9]
Computed powder diffractogram of TmBPd6 for CuKα, from a DFT-relaxed cell (PBE, Alexandria).
No peak broadening, texture or thermal motion is included.

Main lines, by intensity (10° ≤ 2θ ≤ 90°):
two_theta	I_rel
36.70	100
42.92	67
37.66	35
62.97	21
69.42	16
45.59	15

Crystal structure
```
TmBPd6
1.0
3.980 2.298 2.388
-3.980 2.298 2.388
0.000 -4.596 2.388
Tm B Pd
1 1 6
direct
0.000 0.000 0.000
0.500 0.500 0.500
0.214 0.214 0.591
0.214 0.591 0.214
0.409 0.786 0.786
0.591 0.214 0.214
0.786 0.409 0.786
0.786 0.786 0.409
```



[10]
Computed powder diffractogram of TbNd2HoSc for CuKα, from a DFT-relaxed cell (PBE, Alexandria).
No peak broadening, texture or thermal motion is included.

Main lines, by intensity (10° ≤ 2θ ≤ 90°):
two_theta	I_rel
30.13	100
28.66	42
30.93	36
29.64	22
51.69	22
39.37	19

Crystal structure
```
TbNd2HoSc
1.0
6.230 0.000 0.000
0.000 7.882 0.000
0.000 0.000 6.525
Tb Nd Ho Sc
2 4 2 2
direct
0.250 0.000 0.089
0.750 0.000 0.911
0.250 0.298 0.714
0.250 0.702 0.714
0.750 0.298 0.286
0.750 0.702 0.286
0.250 0.500 0.187
0.750 0.500 0.813
0.000 0.000 0.500
0.500 0.000 0.500
```